This entry pairs a crystal structure of Nd8NiTe4Se3 with its calculated powder X-ray diffraction pattern. Radiation: a wavelength of 1.5418 Å. Structure: a cell relaxed with GGA-PBE.

The 10 most intense peaks (2θ = 10–90°), most intense first:
two_theta, d [Å], I (rel.)
28.9, 3.086, 100
41.7, 2.164, 38
41.0, 2.201, 35
51.6, 1.772, 19
68.4, 1.371, 16
67.4, 1.390, 13
59.9, 1.543, 11
75.7, 1.256, 11
76.2, 1.249, 8
31.5, 2.840, 7

Crystal structure
```
data_Nd8NiTe4Se3
_chemical_formula_sum 'Nd16 Ni2 Te8 Se6'
_symmetry_space_group_name_H-M 'C 1 2/m 1'
_symmetry_Int_Tables_number 12
_symmetry_space_group_name_Hall '-C 2y'
_cell_length_a 14.9923
_cell_length_b 8.6545
_cell_length_c 8.8082
_cell_angle_alpha 90.00
_cell_angle_beta 124.56
_cell_angle_gamma 90.00
loop_
_atom_site_label
_atom_site_type_symbol
_atom_site_fract_x
_atom_site_fract_y
_atom_site_fract_z
Nd1 Nd 0.0062 0.2367 0.2820
Nd2 Nd 0.2320 0.0000 0.7194
Nd3 Nd 0.2417 0.5000 0.7245
Ni1 Ni 0.0000 0.0000 0.5000
Te1 Te 0.0000 0.0000 0.0000
Te2 Te 0.0000 0.5000 0.0000
Te3 Te 0.2500 0.2500 0.0000
Se1 Se 0.0000 0.5000 0.5000
Se2 Se 0.2500 0.2500 0.5000
```

=====

This entry pairs a crystal structure of CoCl6 with its calculated powder X-ray diffraction pattern. Radiation: a wavelength of 1.5418 Å. Structure: a cell relaxed with GGA-PBE.

The 10 most intense peaks (2θ = 10–90°), most intense first:
two_theta, d [Å], I (rel.)
11.3, 7.812, 100
14.6, 6.053, 48
17.7, 5.023, 15
43.2, 2.094, 12
44.8, 2.023, 10
29.1, 3.064, 10
29.5, 3.027, 10
22.8, 3.906, 9
34.4, 2.604, 9
32.9, 2.721, 8

Crystal structure
```
data_CoCl6
_chemical_formula_sum 'Co2 Cl12'
_symmetry_space_group_name_H-M 'C m m m'
_symmetry_Int_Tables_number 65
_symmetry_space_group_name_Hall '-C 2 2'
_cell_length_a 7.5842
_cell_length_b 10.0468
_cell_length_c 7.8119
_cell_angle_alpha 90.00
_cell_angle_beta 90.00
_cell_angle_gamma 90.00
loop_
_atom_site_label
_atom_site_type_symbol
_atom_site_fract_x
_atom_site_fract_y
_atom_site_fract_z
Co1 Co 0.0000 0.0000 0.0000
Cl1 Cl 0.0000 0.0000 0.2745
Cl2 Cl 0.2411 0.3717 0.0000
```

=====

This entry pairs a crystal structure of HoVTe with its calculated powder X-ray diffraction pattern. Radiation: a wavelength of 1.5418 Å. Structure: a cell relaxed with GGA-PBE.

The 10 most intense peaks (2θ = 10–90°), most intense first:
two_theta, d [Å], I (rel.)
34.5, 2.599, 100
29.6, 3.022, 79
31.0, 2.883, 42
43.4, 2.086, 34
65.7, 1.420, 30
10.6, 8.308, 26
55.7, 1.651, 25
32.3, 2.769, 25
44.4, 2.042, 21
38.0, 2.368, 20

Crystal structure
```
data_HoVTe
_chemical_formula_sum 'Ho4 V4 Te4'
_symmetry_space_group_name_H-M 'C 1 2/m 1'
_symmetry_Int_Tables_number 12
_symmetry_space_group_name_Hall '-C 2y'
_cell_length_a 5.7655
_cell_length_b 6.0445
_cell_length_c 8.7894
_cell_angle_alpha 90.00
_cell_angle_beta 109.05
_cell_angle_gamma 90.00
loop_
_atom_site_label
_atom_site_type_symbol
_atom_site_fract_x
_atom_site_fract_y
_atom_site_fract_z
Ho1 Ho 0.1814 0.0000 0.3632
V1 V 0.1627 0.0000 0.0001
Te1 Te 0.1306 0.5000 0.2611
```